Record 1
For CuAu3, a cell relaxed with PBE gives the simulated powder XRD pattern in this record (copper Kα).
Peak positions follow from Bragg's law for the DFT cell and can differ from measured ones.

Structure:
```
CuAu3
1.0
-2.0113 2.0113 4.1284
2.0113 -2.0113 4.1284
2.0113 2.0113 -4.1284
Cu Au
1 3
direct
0.0000 0.0000 0.0000
0.2500 0.7500 0.5000
0.5000 0.5000 0.0000
0.7500 0.2500 0.5000
```

Principal peaks in the range 2θ from 10° to 80°, low angle first:
2θ/deg  I (rel.)
21.5  4
24.6  11
38.4  100
39.7  3
43.9  17
45.1  32
64.7  22
65.6  10
77.0  13
78.7  27

=====

Record 2
For CuAu, a cell relaxed with PBE gives the simulated powder XRD pattern in this record (copper Kα).
Peak positions follow from Bragg's law for the DFT cell and can differ from measured ones.

Structure:
```
CuAu
1.0
-1.8314 2.0231 20.2522
1.8314 -2.0231 20.2522
1.8314 2.0231 -20.2522
Cu Au
10 10
direct
0.0751 0.8251 0.2500
0.1755 0.9255 0.2500
0.2751 0.0251 0.2500
0.3748 0.1248 0.2500
0.4769 0.2269 0.2500
0.5231 0.7731 0.7500
0.6252 0.8752 0.7500
0.7249 0.9749 0.7500
0.8245 0.0745 0.7500
0.9249 0.1749 0.7500
0.0267 0.2767 0.7500
0.1259 0.3759 0.7500
0.2254 0.4754 0.7500
0.3248 0.5748 0.7500
0.4246 0.6746 0.7500
0.5754 0.3254 0.2500
0.6752 0.4252 0.2500
0.7746 0.5246 0.2500
0.8741 0.6241 0.2500
0.9733 0.7233 0.2500
```

Principal peaks in the range 2θ from 10° to 80°, low angle first:
2θ/deg  I (rel.)
24.4  17
29.7  9
32.9  10
40.0  100
44.8  36
49.8  13
51.7  5
65.2  12
69.2  20
79.3  27